# TiTe6Au2
Computed powder diffractogram, Cu Kα, 1.54184 Å. Input: DFT lattice parameters and positions (PBE).
Intensities are scaled so that the largest is 1000.

```
data_TiTe6Au2
_cell_length_a 8.892
_cell_length_b 8.892
_cell_length_c 7.345
_cell_angle_alpha 103.20
_cell_angle_beta 103.20
_cell_angle_gamma 67.09
_space_group_name_H-M_alt 'P 1'
_space_group_IT_number 1
loop_
_space_group_symop_operation_xyz
'x,y,z'
loop_
_atom_site_label
_atom_site_type_symbol
_atom_site_fract_x
_atom_site_fract_y
_atom_site_fract_z
Ti1 Ti 0.155 0.845 0.750
Ti2 Ti 0.845 0.155 0.250
Te1 Te 0.010 0.175 0.644
Te2 Te 0.059 0.618 0.848
Te3 Te 0.175 0.010 0.144
Te4 Te 0.346 0.500 0.558
Te5 Te 0.382 0.941 0.652
Te6 Te 0.500 0.346 0.058
Te7 Te 0.500 0.654 0.942
Te8 Te 0.618 0.059 0.348
Te9 Te 0.654 0.500 0.442
Te10 Te 0.825 0.990 0.856
Te11 Te 0.941 0.382 0.152
Te12 Te 0.990 0.825 0.356
Au1 Au 0.272 0.287 0.737
Au2 Au 0.287 0.272 0.237
Au3 Au 0.713 0.728 0.763
Au4 Au 0.728 0.713 0.263
```

Top 10 peaks for 10° ≤ 2θ ≤ 90°, low angle first:
- 2θ 18.05, 4.914 Å, intensity 704
- 2θ 24.88, 3.579 Å, intensity 1000
- 2θ 29.12, 3.067 Å, intensity 514
- 2θ 31.45, 2.844 Å, intensity 456
- 2θ 33.68, 2.661 Å, intensity 631
- 2θ 35.82, 2.507 Å, intensity 551
- 2θ 36.27, 2.477 Å, intensity 506
- 2θ 38.78, 2.322 Å, intensity 805
- 2θ 42.25, 2.139 Å, intensity 452
- 2θ 44.76, 2.025 Å, intensity 497